# 1
Structure and computed PXRD pattern of FeOF (the GGA+U geometry in the Materials Project; copper Kα).
Neutral-atom scattering factors, no anomalous dispersion.

Structural model:
Unit cell a=9.490 b=3.096 c=14.099 alpha=90.00 beta=90.00 gamma=90.00
Atoms (fractional coordinates):
Fe (0.000, 0.000, 0.000)
Fe (0.000, 0.000, 0.322)
Fe (0.050, 0.000, 0.649)
Fe (0.287, 0.500, 0.155)
Fe (0.291, 0.500, 0.498)
Fe (0.307, 0.500, 0.841)
Fe (0.509, 0.000, 0.663)
Fe (0.528, 0.000, 0.009)
Fe (0.559, 0.000, 0.316)
Fe (0.778, 0.500, 0.157)
Fe (0.793, 0.500, 0.832)
Fe (0.807, 0.500, 0.502)
O (0.137, 0.500, 0.594)
O (0.384, 0.000, 0.552)
O (0.386, 0.000, 0.903)
O (0.433, 0.500, 0.728)
O (0.438, 0.500, 0.066)
O (0.638, 0.500, 0.254)
O (0.683, 0.000, 0.096)
O (0.868, 0.000, 0.218)
O (0.878, 0.000, 0.888)
O (0.884, 0.000, 0.563)
O (0.921, 0.500, 0.062)
O (0.928, 0.500, 0.387)
F (0.128, 0.500, 0.254)
F (0.128, 0.500, 0.934)
F (0.177, 0.000, 0.093)
F (0.184, 0.000, 0.768)
F (0.186, 0.000, 0.420)
F (0.375, 0.000, 0.233)
F (0.442, 0.500, 0.385)
F (0.631, 0.500, 0.927)
F (0.632, 0.500, 0.595)
F (0.681, 0.000, 0.433)
F (0.686, 0.000, 0.757)
F (0.939, 0.500, 0.725)

Peak list (10 most intense, 10° ≤ 2θ ≤ 90°, by angle)
| h k l | Position (°2θ) | intensity |
| --- | --- | --- |
| 2 0 3 | 26.70 | 100 |
| 2 1 0 | 34.59 | 28 |
| 0 1 3 | 34.69 | 30 |
| 2 1 3 | 39.70 | 18 |
| 4 1 3 | 52.33 | 27 |
| 2 1 6 | 52.56 | 30 |
| 4 0 6 | 55.00 | 16 |
| 0 2 0 | 59.73 | 10 |
| 2 2 3 | 66.58 | 13 |
| 0 1 9 | 66.94 | 10 |


# 2
Structure and computed PXRD pattern of KSrBiWO6 (the GGA+U geometry in the Materials Project; copper Kα).
Neutral-atom scattering factors, no anomalous dispersion.

Structural model:
Unit cell a=8.483 b=8.492 c=8.509 alpha=90.00 beta=90.00 gamma=90.00
Atoms (fractional coordinates):
K (0.250, 0.250, 0.250)
K (0.250, 0.750, 0.250)
K (0.750, 0.250, 0.750)
K (0.750, 0.750, 0.750)
Sr (0.250, 0.250, 0.750)
Sr (0.250, 0.750, 0.750)
Sr (0.750, 0.250, 0.250)
Sr (0.750, 0.750, 0.250)
Bi (0.000, 0.000, 0.000)
Bi (0.000, 0.500, 0.500)
Bi (0.500, 0.000, 0.500)
Bi (0.500, 0.500, 0.000)
W (0.000, 0.000, 0.500)
W (0.000, 0.500, 0.000)
W (0.500, 0.000, 0.000)
W (0.500, 0.500, 0.500)
O (0.024, 0.227, 0.472)
O (0.024, 0.273, 0.028)
O (0.039, 0.026, 0.728)
O (0.039, 0.474, 0.772)
O (0.226, 0.530, 0.018)
O (0.226, 0.970, 0.482)
O (0.274, 0.530, 0.482)
O (0.274, 0.970, 0.018)
O (0.461, 0.026, 0.772)
O (0.461, 0.474, 0.728)
O (0.476, 0.227, 0.028)
O (0.476, 0.273, 0.472)
O (0.524, 0.727, 0.528)
O (0.524, 0.773, 0.972)
O (0.539, 0.526, 0.272)
O (0.539, 0.974, 0.228)
O (0.726, 0.030, 0.982)
O (0.726, 0.470, 0.518)
O (0.774, 0.030, 0.518)
O (0.774, 0.470, 0.982)
O (0.961, 0.526, 0.228)
O (0.961, 0.974, 0.272)
O (0.976, 0.727, 0.972)
O (0.976, 0.773, 0.528)

Peak list (10 most intense, 10° ≤ 2θ ≤ 90°, by angle)
| h k l | Position (°2θ) | intensity |
| --- | --- | --- |
| 0 0 2 | 20.91 | 42 |
| 2 0 2 | 29.75 | 100 |
| 0 0 4 | 42.54 | 19 |
| 4 0 0 | 42.63 | 9 |
| 0 2 4 | 47.86 | 13 |
| 4 2 2 | 52.79 | 43 |
| 0 4 4 | 61.75 | 12 |
| 6 0 2 | 70.11 | 12 |
| 4 2 6 | 85.49 | 12 |
| 6 4 2 | 85.61 | 12 |